Calculated X-ray powder pattern of Zn3As2 for Cu Ka, from DFT lattice parameters and positions (GGA-PBE).
Kinematic intensities with the Lorentz-polarization factor, no thermal factor.

Principal peaks in the range 10 to 90 degrees two-theta, by angle:
hkl 2 1 1, d 3.598, 2θ = 24.74°, I = 7; hkl 2 0 2, d 3.445, 2θ = 25.86°, I = 52; hkl 2 1 2, d 3.190, 2θ = 27.97°, I = 8; hkl 2 0 3, d 2.894, 2θ = 30.90°, I = 12; hkl 4 0 0, d 2.110, 2θ = 42.87°, I = 100; hkl 4 2 2, d 1.799, 2θ = 50.74°, I = 25; hkl 4 4 0, d 1.492, 2θ = 62.23°, I = 14; hkl 6 0 2, d 1.369, 2θ = 68.55°, I = 9; hkl 6 2 4, d 1.218, 2θ = 78.53°, I = 24; hkl 6 0 6, d 1.148, 2θ = 84.34°, I = 8

Structural model:
```
Zn3As2
1.0
8.4402 0.0000 0.0000
0.0000 8.4402 0.0000
0.0000 0.0000 11.9293
Zn As
24 16
Direct
0.0039 0.7500 0.1036
0.0262 0.7500 0.6399
0.0292 0.2500 0.6360
0.2500 0.0292 0.1360
0.2500 0.4708 0.1360
0.2500 0.5039 0.3964
0.2500 0.5262 0.8601
0.2500 0.9738 0.8601
0.2500 0.9961 0.3964
0.4708 0.2500 0.6360
0.4738 0.7500 0.6399
0.4961 0.7500 0.1036
0.5039 0.2500 0.8964
0.5262 0.2500 0.3601
0.5292 0.7500 0.3640
0.7500 0.0039 0.6036
0.7500 0.0262 0.1399
0.7500 0.4738 0.1399
0.7500 0.4961 0.6036
0.7500 0.5292 0.8640
0.7500 0.9708 0.8640
0.9708 0.7500 0.3640
0.9738 0.2500 0.3601
0.9961 0.2500 0.8964
0.0026 0.5026 0.2500
0.0026 0.9974 0.2500
0.2500 0.2500 0.4963
0.2500 0.2500 0.9963
0.2500 0.7500 0.5043
0.2500 0.7500 0.9957
0.4974 0.5026 0.2500
0.4974 0.9974 0.2500
0.5026 0.0026 0.7500
0.5026 0.4974 0.7500
0.7500 0.2500 0.0043
0.7500 0.2500 0.4957
0.7500 0.7500 0.0037
0.7500 0.7500 0.5037
0.9974 0.0026 0.7500
0.9974 0.4974 0.7500
```